Record 1
Diffraction record for UFeAs2. The powder XRD pattern is theoretical, not measured: it uses a cell relaxed with PBE and a wavelength of 1.5418 Å.

The 10 most intense peaks (10 to 90 degrees two-theta), by angle:
hkl 1 0 1, 24.54°, intensity 52; hkl 1 1 0, 31.80°, intensity 15; hkl 1 1 2, 37.92°, intensity 100; hkl 1 0 3, 38.04°, intensity 38; hkl 2 0 0, 45.58°, intensity 38; hkl 2 1 1, 52.44°, intensity 14; hkl 1 0 5, 57.10°, intensity 18; hkl 2 1 3, 60.83°, intensity 20; hkl 2 1 5, 75.93°, intensity 16; hkl 3 1 2, 79.14°, intensity 29

Structural model:
a b c (Å): 3.980 3.980 8.823
angles (deg): 90.00 90.00 90.00
Space group P4/nmm (No. 129, origin choice 2)
One atom of each set of equivalent atoms:
U (0.250, 0.250, 0.244) [2 per cell]
Fe (0.250, 0.750, 0.000) [2 per cell]
As (0.250, 0.250, 0.846) [2 per cell]
As (0.250, 0.750, 0.500) [2 per cell]


Record 2
Diffraction record for ZrFeAs. The powder XRD pattern is theoretical, not measured: it uses a cell relaxed with PBE and a wavelength of 1.5418 Å.

The 10 most intense peaks (10 to 90 degrees two-theta), by angle:
hkl 1 1 2, 36.40°, intensity 63; hkl 2 0 2, 37.14°, intensity 21; hkl 2 1 1, 38.03°, intensity 100; hkl 1 0 3, 39.71°, intensity 19; hkl 3 0 1, 43.65°, intensity 23; hkl 0 1 3, 43.90°, intensity 44; hkl 0 2 0, 46.19°, intensity 52; hkl 3 0 2, 49.00°, intensity 12; hkl 3 2 1, 65.43°, intensity 13; hkl 3 1 4, 72.00°, intensity 18

Structural model:
a b c (Å): 6.491 3.931 7.268
angles (deg): 90.00 90.00 90.00
Space group Pnma (No. 62)
One atom of each set of equivalent atoms:
Zr (0.013, 0.250, 0.189) [4 per cell]
Fe (0.147, 0.250, 0.562) [4 per cell]
As (0.222, 0.750, 0.386) [4 per cell]


Record 3
Diffraction record for GaAs. The powder XRD pattern is theoretical, not measured: it uses a cell relaxed with PBE and a wavelength of 1.5418 Å.

The 10 most intense peaks (10 to 90 degrees two-theta), by angle:
hkl 0 0 1, 31.71°, intensity 18; hkl 1 0 0, 33.50°, intensity 77; hkl 0 2 0, 34.03°, intensity 74; hkl 0 1 1, 36.10°, intensity 100; hkl 1 2 0, 48.50°, intensity 53; hkl 1 1 1, 50.07°, intensity 77; hkl 0 3 1, 62.26°, intensity 20; hkl 1 3 1, 72.58°, intensity 25; hkl 1 1 2, 78.81°, intensity 16; hkl 2 1 1, 81.75°, intensity 18

Structural model:
a b c (Å): 2.675 5.269 2.822
angles (deg): 90.00 90.00 90.00
Space group Pmm2 (No. 25)
One atom of each set of equivalent atoms:
Ga (0.000, 0.000, 0.000) [1 per cell]
As (0.000, 0.500, 0.351) [1 per cell]


Record 4
Diffraction record for GaAs. The powder XRD pattern is theoretical, not measured: it uses a cell relaxed with PBE and a wavelength of 1.5418 Å.

The 7 most intense peaks (10 to 90 degrees two-theta), by angle:
hkl 1 1 1, 26.85°, intensity 100; hkl 2 2 0, 44.57°, intensity 75; hkl 3 1 1, 52.80°, intensity 45; hkl 4 0 0, 64.86°, intensity 12; hkl 3 3 1, 71.52°, intensity 18; hkl 4 2 2, 82.11°, intensity 24; hkl 5 1 1, 88.32°, intensity 14

Structural model:
a b c (Å): 5.750 5.750 5.750
angles (deg): 90.00 90.00 90.00
Space group F-43m (No. 216)
One atom of each set of equivalent atoms:
Ga (0.000, 0.000, 0.000) [4 per cell]
As (0.250, 0.250, 0.250) [4 per cell]